# 1
For Sm4PaN4, a GGA-PBE-relaxed structure gives the simulated XRD peak list in this record (Cu Kα X-rays).
Peak positions follow from Bragg's law for the DFT cell and can differ from measured ones.

Structure:
a = 6.228 Å, b = 6.228 Å, c = 8.800 Å
α = 118.53°, β = 118.53°, γ = 33.40°
Sites, in units of the cell vectors:
Sm (0.109, 0.109, 0.394)
Sm (0.297, 0.297, 0.192)
Sm (0.703, 0.703, 0.808)
Sm (0.891, 0.891, 0.606)
Pa (0.500, 0.500, 0.000)
N (0.090, 0.090, 0.912)
N (0.308, 0.308, 0.713)
N (0.692, 0.692, 0.287)
N (0.910, 0.910, 0.088)

The 10 most intense peaks (2θ from 10° to 90°), in order of rising 2θ:
30.47°, I 98
30.61°, I 100
35.35°, I 87
35.54°, I 43
51.01°, I 75
60.37°, I 28
60.62°, I 29
60.75°, I 29
63.74°, I 16
83.22°, I 18

***

# 2
For Ti3Be7Cu2, a GGA-PBE-relaxed structure gives the simulated XRD peak list in this record (Cu Kα X-rays).
Peak positions follow from Bragg's law for the DFT cell and can differ from measured ones.

Structure:
a = 7.770 Å, b = 7.770 Å, c = 7.770 Å
α = 34.14°, β = 34.14°, γ = 34.14°
Sites, in units of the cell vectors:
Ti (0.000, 0.000, 0.000)
Ti (0.144, 0.144, 0.144)
Ti (0.856, 0.856, 0.856)
Be (0.082, 0.587, 0.587)
Be (0.413, 0.413, 0.918)
Be (0.413, 0.918, 0.413)
Be (0.500, 0.500, 0.500)
Be (0.587, 0.082, 0.587)
Be (0.587, 0.587, 0.082)
Be (0.918, 0.413, 0.413)
Cu (0.334, 0.334, 0.334)
Cu (0.666, 0.666, 0.666)

The 10 most intense peaks (2θ from 10° to 90°), in order of rising 2θ:
12.11°, I 55
24.35°, I 69
27.84°, I 29
39.51°, I 91
41.47°, I 19
46.96°, I 100
55.16°, I 20
71.67°, I 13
76.96°, I 21
77.56°, I 15

***

# 3
For CaPd3O6, a GGA-PBE-relaxed structure gives the simulated XRD peak list in this record (Cu Kα X-rays).
Peak positions follow from Bragg's law for the DFT cell and can differ from measured ones.

Structure:
a = 6.300 Å, b = 6.300 Å, c = 3.245 Å
α = 90.00°, β = 90.00°, γ = 109.12°
Sites, in units of the cell vectors:
Ca (0.000, 0.000, 0.000)
Pd (0.000, 0.500, 0.500)
Pd (0.500, 0.000, 0.500)
Pd (0.500, 0.500, 0.000)
O (0.163, 0.837, 0.500)
O (0.166, 0.423, 0.000)
O (0.423, 0.166, 0.000)
O (0.577, 0.834, 0.000)
O (0.834, 0.577, 0.000)
O (0.837, 0.163, 0.500)

The 10 most intense peaks (2θ from 10° to 90°), in order of rising 2θ:
14.88°, I 15
30.03°, I 100
32.65°, I 92
34.97°, I 21
37.05°, I 35
49.93°, I 17
51.86°, I 62
59.69°, I 17
60.94°, I 29
65.52°, I 21